Entry 1:
This entry pairs a crystal structure of LaS14I with its computed powder XRD pattern. Radiation: Cu Kα (λ = 1.5418 Å). Structure: a cell relaxed with PBE.
Kinematic intensities with the Lorentz-polarization factor, no thermal factor.

Top 12 peaks for 10 to 90 degrees two-theta, in order of rising 2θ:
| index | two_theta | intensity |
| --- | --- | --- |
| 0 2 0 | 11.90 | 60 |
| 1 1 1 | 15.15 | 63 |
| 3 1 0 | 15.37 | 100 |
| 4 2 -1 | 21.80 | 52 |
| 3 3 0 | 22.89 | 64 |
| 1 1 2 | 25.95 | 72 |
| 0 4 1 | 26.60 | 40 |
| 2 2 2 | 30.55 | 43 |
| 4 2 2 | 37.18 | 37 |
| 2 6 0 | 37.52 | 38 |
| 4 6 0 | 41.18 | 35 |
| 9 1 -2 | 41.47 | 38 |

Structure:
Lattice parameters (Å, degrees): 20.151 14.879 8.290 90.00 111.42 90.00
Space group C2/c (No. 15)
Asymmetric unit:
La: 0.000 0.000 0.000 x4
S: 0.053 0.168 0.241 x8
S: 0.075 0.180 0.651 x8
S: 0.100 0.075 0.828 x8
S: 0.120 0.106 0.463 x8
S: 0.126 0.431 0.337 x8
S: 0.190 0.434 0.597 x8
S: 0.193 0.438 0.198 x8
I: 0.000 0.318 0.750 x4

***

Entry 2:
This entry pairs a crystal structure of LaS2I with its computed powder XRD pattern. Radiation: Cu Kα (λ = 1.5418 Å). Structure: a cell relaxed with PBE.
Kinematic intensities with the Lorentz-polarization factor, no thermal factor.

Top 12 peaks for 10 to 90 degrees two-theta, in order of rising 2θ:
| index | two_theta | intensity |
| --- | --- | --- |
| 0 0 6 | 22.41 | 27 |
| 0 1 2 | 24.04 | 100 |
| 1 0 4 | 27.37 | 37 |
| 0 1 8 | 38.06 | 39 |
| 1 1 0 | 40.11 | 36 |
| 1 0 10 | 44.62 | 24 |
| 1 1 6 | 46.42 | 24 |
| 2 0 2 | 47.31 | 16 |
| 2 0 8 | 56.48 | 12 |
| 1 2 2 | 63.71 | 13 |
| 1 2 8 | 71.52 | 12 |
| 2 1 10 | 76.02 | 10 |

Structure:
Lattice parameters (Å, degrees): 4.4966 4.4966 23.8014 90.00 90.00 120.00
Space group R-3m (No. 166, hexagonal axes)
Asymmetric unit:
La: 0.0000 0.0000 0.0000 x3
S: 0.0000 0.0000 0.3888 x6
I: 0.0000 0.0000 0.5000 x3

***

Entry 3:
This entry pairs a crystal structure of La7SbI12 with its computed powder XRD pattern. Radiation: Cu Kα (λ = 1.5418 Å). Structure: a cell relaxed with PBE.
Kinematic intensities with the Lorentz-polarization factor, no thermal factor.

Top 12 peaks for 10 to 90 degrees two-theta, in order of rising 2θ:
| index | two_theta | intensity |
| --- | --- | --- |
| 1 1 0 | 10.66 | 16 |
| 4 -3 1 | 23.77 | 13 |
| 3 1 2 | 27.74 | 100 |
| 2 5 0 | 39.13 | 39 |
| 4 -3 4 | 40.15 | 37 |
| 8 -6 2 | 48.64 | 21 |
| 0 0 6 | 50.34 | 7 |
| 6 2 4 | 57.31 | 13 |
| 5 6 2 | 64.12 | 17 |
| 2 5 6 | 65.56 | 16 |
| 9 3 0 | 70.90 | 6 |
| 1 9 4 | 71.59 | 12 |

Structure:
Lattice parameters (Å, degrees): 16.6015 16.6015 10.8730 90.00 90.00 120.00
Space group R-3 (No. 148, hexagonal axes)
Asymmetric unit:
La: 0.0000 0.0000 0.0000 x3
La: 0.0479 0.1692 0.3397 x18
Sb: 0.0000 0.0000 0.5000 x3
I: 0.0239 0.5884 0.1662 x18
I: 0.0516 0.1841 0.8414 x18

***

Entry 4:
This entry pairs a crystal structure of La4SnSb2I with its computed powder XRD pattern. Radiation: Cu Kα (λ = 1.5418 Å). Structure: a cell relaxed with PBE.
Kinematic intensities with the Lorentz-polarization factor, no thermal factor.

Top 12 peaks for 10 to 90 degrees two-theta, in order of rising 2θ:
| index | two_theta | intensity |
| --- | --- | --- |
| 1 1 1 | 27.19 | 100 |
| 2 0 -2 | 27.31 | 50 |
| 0 2 0 | 38.78 | 20 |
| 1 1 -3 | 38.91 | 95 |
| 2 2 -2 | 48.09 | 31 |
| 2 2 2 | 56.08 | 13 |
| 1 3 1 | 63.39 | 18 |
| 4 2 0 | 63.51 | 17 |
| 3 1 -5 | 63.67 | 18 |
| 1 3 -3 | 70.29 | 13 |
| 4 2 -4 | 70.51 | 16 |
| 3 3 -5 | 89.84 | 12 |

Structure:
Lattice parameters (Å, degrees): 7.998 4.645 8.015 90.00 109.31 90.00
Space group P2/m (No. 10)
Asymmetric unit:
La: 0.235 0.000 0.237 x2
La: 0.243 0.500 0.754 x2
Sn: 0.000 0.000 0.500 x1
Sb: 0.000 0.500 0.000 x1
Sb: 0.500 0.000 0.000 x1
I: 0.500 0.500 0.500 x1

***

Entry 5:
This entry pairs a crystal structure of LaSb2TeI with its computed powder XRD pattern. Radiation: Cu Kα (λ = 1.5418 Å). Structure: a cell relaxed with PBE.
Kinematic intensities with the Lorentz-polarization factor, no thermal factor.

Top 12 peaks for 10 to 90 degrees two-theta, in order of rising 2θ:
| index | two_theta | intensity |
| --- | --- | --- |
| 1 0 0 | 15.42 | 24 |
| 1 1 0 | 21.87 | 33 |
| 1 1 1 | 26.87 | 100 |
| 2 0 0 | 31.07 | 94 |
| 0 0 2 | 31.23 | 46 |
| 1 1 2 | 38.37 | 15 |
| 2 2 0 | 44.52 | 34 |
| 2 0 2 | 44.64 | 68 |
| 3 1 1 | 52.77 | 30 |
| 2 2 2 | 55.38 | 36 |
| 4 2 0 | 73.63 | 30 |
| 4 2 2 | 82.09 | 23 |

Structure:
Lattice parameters (Å, degrees): 5.756 5.756 5.728 90.00 90.00 90.00
Space group P4/mmm (No. 123)
Asymmetric unit:
La: 0.000 0.000 0.000 x1
Sb: 0.000 0.500 0.500 x2
Te: 0.500 0.500 0.500 x1
I: 0.500 0.500 0.000 x1

***

Entry 6:
This entry pairs a crystal structure of La3SeI3 with its computed powder XRD pattern. Radiation: Cu Kα (λ = 1.5418 Å). Structure: a cell relaxed with PBE.
Kinematic intensities with the Lorentz-polarization factor, no thermal factor.

Top 12 peaks for 10 to 90 degrees two-theta, in order of rising 2θ:
| index | two_theta | intensity |
| --- | --- | --- |
| 3 2 1 | 26.49 | 23 |
| 4 0 0 | 28.35 | 100 |
| 3 3 2 | 33.38 | 15 |
| 4 4 0 | 40.53 | 71 |
| 4 4 4 | 50.20 | 24 |
| 7 2 1 | 53.48 | 13 |
| 7 3 2 | 57.65 | 11 |
| 8 0 0 | 58.66 | 10 |
| 8 4 0 | 66.41 | 26 |
| 7 6 1 | 69.19 | 5 |
| 8 4 4 | 73.73 | 18 |
| 8 8 0 | 87.69 | 5 |

Structure:
Lattice parameters (Å, degrees): 12.591 12.591 12.591 90.00 90.00 90.00
Space group I4_132 (No. 214)
Asymmetric unit:
La: 0.109 0.359 0.125 x24
Se: 0.125 0.125 0.125 x8
I: 0.115 0.135 0.625 x24

***

Entry 7:
This entry pairs a crystal structure of La8TeSe3I4 with its computed powder XRD pattern. Radiation: Cu Kα (λ = 1.5418 Å). Structure: a cell relaxed with PBE.
Kinematic intensities with the Lorentz-polarization factor, no thermal factor.

Top 12 peaks for 10 to 90 degrees two-theta, in order of rising 2θ:
| index | two_theta | intensity |
| --- | --- | --- |
| 4 0 0 | 28.06 | 100 |
| 2 2 1 | 30.34 | 7 |
| 4 0 -4 | 38.85 | 35 |
| 6 2 -2 | 41.33 | 36 |
| 0 0 4 | 46.43 | 5 |
| 8 0 -4 | 50.71 | 19 |
| 6 2 1 | 54.83 | 6 |
| 4 4 -4 | 58.01 | 10 |
| 6 2 -6 | 63.89 | 12 |
| 8 4 -4 | 67.41 | 15 |
| 10 2 -6 | 73.70 | 10 |
| 12 0 -4 | 75.37 | 6 |

Structure:
Lattice parameters (Å, degrees): 15.135 8.736 9.309 90.00 122.83 90.00
Space group C2/m (No. 12)
Asymmetric unit:
La: 0.017 0.236 0.285 x8
La: 0.235 0.000 0.705 x4
La: 0.247 0.500 0.715 x4
Te: 0.000 0.500 0.500 x2
Se: 0.000 0.000 0.500 x2
Se: 0.250 0.250 0.500 x4
I: 0.000 0.000 0.000 x2
I: 0.000 0.500 0.000 x2
I: 0.250 0.250 0.000 x4

***

Entry 8:
This entry pairs a crystal structure of La4Sn2I5 with its computed powder XRD pattern. Radiation: Cu Kα (λ = 1.5418 Å). Structure: a cell relaxed with PBE.
Kinematic intensities with the Lorentz-polarization factor, no thermal factor.

Top 12 peaks for 10 to 90 degrees two-theta, in order of rising 2θ:
| index | two_theta | intensity |
| --- | --- | --- |
| 2 0 -1 | 11.60 | 27 |
| 6 0 0 | 21.15 | 24 |
| 3 1 1 | 25.07 | 57 |
| 1 1 2 | 28.72 | 100 |
| 8 0 -1 | 29.15 | 44 |
| 5 1 -2 | 32.43 | 44 |
| 4 0 3 | 34.55 | 29 |
| 9 1 0 | 37.91 | 20 |
| 9 1 1 | 40.08 | 44 |
| 0 2 0 | 40.33 | 27 |
| 4 0 -4 | 41.66 | 20 |
| 8 2 -1 | 50.54 | 19 |

Structure:
Lattice parameters (Å, degrees): 25.321 4.472 8.960 90.00 95.42 90.00
Space group C2/m (No. 12)
Asymmetric unit:
La: 0.016 0.000 0.282 x4
La: 0.167 0.500 0.443 x4
Sn: 0.055 0.500 0.547 x4
I: 0.000 0.500 0.000 x2
I: 0.139 0.000 0.185 x4
I: 0.214 0.000 0.689 x4

***

Entry 9:
This entry pairs a crystal structure of La3SnI3 with its computed powder XRD pattern. Radiation: Cu Kα (λ = 1.5418 Å). Structure: a cell relaxed with PBE.
Kinematic intensities with the Lorentz-polarization factor, no thermal factor.

Top 12 peaks for 10 to 90 degrees two-theta, in order of rising 2θ:
| index | two_theta | intensity |
| --- | --- | --- |
| 3 2 1 | 25.62 | 10 |
| 4 0 0 | 27.43 | 100 |
| 3 3 2 | 32.28 | 6 |
| 5 1 0 | 35.18 | 4 |
| 4 4 0 | 39.18 | 75 |
| 4 4 4 | 48.49 | 27 |
| 7 2 1 | 51.64 | 5 |
| 7 3 2 | 55.64 | 4 |
| 8 0 0 | 56.61 | 12 |
| 8 4 0 | 64.02 | 33 |
| 8 4 4 | 71.00 | 24 |
| 8 8 0 | 84.21 | 8 |

Structure:
Lattice parameters (Å, degrees): 13.008 13.008 13.008 90.00 90.00 90.00
Space group I4_132 (No. 214)
Asymmetric unit:
La: 0.116 0.366 0.125 x24
Sn: 0.125 0.125 0.125 x8
I: 0.119 0.131 0.625 x24

***

Entry 10:
This entry pairs a crystal structure of La7TbI12 with its computed powder XRD pattern. Radiation: Cu Kα (λ = 1.5418 Å). Structure: a cell relaxed with PBE.
Kinematic intensities with the Lorentz-polarization factor, no thermal factor.

Top 12 peaks for 10 to 90 degrees two-theta, in order of rising 2θ:
| index | two_theta | intensity |
| --- | --- | --- |
| 1 1 0 | 10.62 | 18 |
| 4 -3 1 | 23.69 | 13 |
| 3 1 2 | 27.67 | 100 |
| 2 5 0 | 39.00 | 39 |
| 4 -3 4 | 40.05 | 36 |
| 8 -6 2 | 48.48 | 20 |
| 0 0 6 | 50.24 | 6 |
| 6 2 4 | 57.13 | 12 |
| 5 6 2 | 63.89 | 17 |
| 2 5 6 | 65.37 | 15 |
| 9 3 0 | 70.63 | 7 |
| 1 9 4 | 71.34 | 12 |

Structure:
Lattice parameters (Å, degrees): 16.6556 16.6556 10.8949 90.00 90.00 120.00
Space group R-3 (No. 148, hexagonal axes)
Asymmetric unit:
La: 0.0000 0.0000 0.0000 x3
La: 0.0463 0.1679 0.3322 x18
Tb: 0.0000 0.0000 0.5000 x3
I: 0.0271 0.5885 0.1620 x18
I: 0.0513 0.1868 0.8482 x18

***

Entry 11:
This entry pairs a crystal structure of La9Tc2I14 with its computed powder XRD pattern. Radiation: Cu Kα (λ = 1.5418 Å). Structure: a cell relaxed with PBE.
Kinematic intensities with the Lorentz-polarization factor, no thermal factor.

Top 12 peaks for 10 to 90 degrees two-theta, in order of rising 2θ:
| index | two_theta | intensity |
| --- | --- | --- |
| 0 1 1 | 12.82 | 34 |
| 2 -1 1 | 20.10 | 58 |
| 0 0 3 | 20.34 | 30 |
| 1 1 2 | 23.32 | 34 |
| 1 2 0 | 29.07 | 41 |
| 0 1 4 | 29.40 | 30 |
| 3 -1 1 | 29.87 | 86 |
| 3 0 0 | 33.06 | 73 |
| 2 -1 4 | 33.36 | 100 |
| 1 2 3 | 35.74 | 37 |
| 3 1 4 | 49.06 | 19 |
| 1 1 8 | 59.82 | 17 |

Structure:
Lattice parameters (Å, degrees): 9.3855 9.3855 13.0994 90.00 90.00 120.00
Space group P-3 (No. 147)
Asymmetric unit:
La: 0.0000 0.0000 0.0000 x1
La: 0.0988 0.3891 0.3340 x6
La: 0.3333 0.6667 0.0669 x2
Tc: 0.3333 0.6667 0.2778 x2
I: 0.0000 0.0000 0.2545 x2
I: 0.0529 0.6846 0.9063 x6
I: 0.0916 0.3986 0.5952 x6